This entry pairs a crystal structure of Gd2GeB2O8 with its simulated X-ray diffraction stick pattern. Radiation: λ = 1.5418 Å (Cu Kα). Structure: DFT lattice parameters and positions (PBE).
Lines closer than 0.1° are merged.

Structural model:
```
data_Gd2GeB2O8
_cell_length_a 13.6332
_cell_length_b 4.4595
_cell_length_c 9.4354
_cell_angle_alpha 90.00
_cell_angle_beta 90.00
_cell_angle_gamma 90.00
_symmetry_space_group_name_H-M 'P b c n'
_symmetry_Int_Tables_number 60
loop_
_symmetry_equiv_pos_as_xyz
'x,y,z'
'-x,-y,-z'
'-x+1/2,-y+1/2,z+1/2'
'x+1/2,y+1/2,-z+1/2'
'x+1/2,-y+1/2,-z'
'-x+1/2,y+1/2,z'
'-x,y,-z+1/2'
'x,-y,z+1/2'
loop_
_atom_site_label
_atom_site_fract_x
_atom_site_fract_y
_atom_site_fract_z
Gd1 0.1402 0.0409 0.0269
Ge1 0.0000 0.4228 0.7500
B1 0.2004 0.4704 0.2975
O1 0.0049 0.2017 0.9025
O2 0.1072 0.3448 0.2327
O3 0.1924 0.4639 0.4505
O4 0.2163 0.2177 0.7420
```

Principal peaks in the range 15° ≤ 2θ ≤ 90°, in order of rising 2θ:
index, 2θ (°), I (rel.)
0 0 2, 18.8, 29
3 1 0, 28.0, 56
1 1 2, 28.3, 100
4 0 2, 32.4, 57
3 1 2, 34.0, 26
0 0 4, 38.1, 26
2 1 4, 45.5, 17
3 1 4, 48.0, 24
4 2 2, 52.8, 21
7 1 2, 55.0, 30